(1)
Simulated XRD peak list
Compound: NdZn10Cd
Radiation: copper Kα
Structure: a crystal structure in Alexandria, relaxed with PBE
Intensities are scaled so that the largest is 100.

Structure:
abc: 4.320 5.240 9.311
angles: 90.00 90.00 90.00
Space group Pmmm (No. 47)
Asymmetric unit:
Nd 0.000 0.000 0.000
Zn 0.000 0.000 0.345
Zn 0.000 0.500 0.193
Zn 0.500 0.000 0.500
Zn 0.500 0.240 0.238
Zn 0.500 0.500 0.000
Cd 0.000 0.500 0.500

Main lines, in order of falling intensity (2θ from 10° to 80°):
d/Å, Rel. int., h k l
2.271, 100, 1 1 3
2.240, 50, 1 2 0
2.160, 45, 2 0 0
3.138, 40, 1 1 1
2.283, 31, 0 2 2
2.670, 25, 0 1 3
1.436, 21, 1 3 3
2.328, 21, 0 0 4
1.569, 18, 2 2 2
2.019, 16, 1 2 2
3.167, 16, 1 0 2
1.267, 14, 3 1 3

***

(2)
Simulated XRD peak list
Compound: Nd2Zn10Cd
Radiation: copper Kα
Structure: a crystal structure in Alexandria, relaxed with PBE
Intensities are scaled so that the largest is 100.

Structure:
abc: 5.862 6.323 14.448
angles: 90.00 112.90 90.00
Space group P2_1/c (No. 14)
Asymmetric unit:
Nd 0.218 0.237 0.120
Zn 0.058 0.248 0.880
Zn 0.235 0.561 0.800
Zn 0.237 0.537 0.289
Zn 0.305 0.598 0.474
Zn 0.410 0.740 0.153
Cd 0.500 0.000 0.500

Main lines, in order of falling intensity (2θ from 10° to 80°):
d/Å, Rel. int., h k l
2.292, 100, 0 2 4
2.719, 96, 1 2 -2
2.407, 74, 1 0 -6
2.659, 67, 2 1 -2
1.963, 33, 1 3 0
2.277, 33, 1 1 4
2.483, 26, 2 1 0
2.094, 25, 2 1 2
1.515, 23, 2 3 -6
3.067, 22, 1 1 -4
2.149, 19, 2 2 -2
2.455, 17, 2 1 -4

***

(3)
Simulated XRD peak list
Compound: Nd2ZnCd2
Radiation: copper Kα
Structure: a crystal structure in Alexandria, relaxed with PBE
Intensities are scaled so that the largest is 100.

Structure:
abc: 4.843 15.458 3.428
angles: 90.00 90.00 90.00
Space group Cmmm (No. 65)
Asymmetric unit:
Nd 0.000 0.109 0.000
Zn 0.000 0.500 0.500
Cd 0.000 0.302 0.500

Main lines, in order of falling intensity (2θ from 10° to 80°):
d/Å, Rel. int., h k l
2.606, 100, 1 5 0
2.753, 95, 1 1 1
2.565, 45, 0 4 1
1.432, 45, 3 5 0
2.422, 42, 2 0 0
2.459, 33, 1 3 1
1.761, 29, 2 4 1
1.464, 16, 1 9 1
2.060, 15, 0 6 1
1.714, 15, 0 0 2
1.399, 15, 2 0 2
1.569, 14, 2 6 1

***

(4)
Simulated XRD peak list
Compound: NdZrCd6
Radiation: copper Kα
Structure: a crystal structure in Alexandria, relaxed with PBE
Intensities are scaled so that the largest is 100.

Structure:
abc: 4.642 4.642 8.785
angles: 90.00 90.00 90.00
Space group P4/mmm (No. 123)
Asymmetric unit:
Nd 0.000 0.000 0.000
Zr 0.000 0.000 0.500
Cd 0.000 0.500 0.266
Cd 0.500 0.500 0.000
Cd 0.500 0.500 0.500

Main lines, in order of falling intensity (2θ from 10° to 80°):
d/Å, Rel. int., h k l
2.629, 100, 1 1 2
2.321, 36, 2 0 0
1.392, 26, 3 1 2
1.595, 20, 2 0 4
2.196, 14, 0 0 4
1.641, 12, 2 2 0
1.315, 10, 2 2 4
1.337, 10, 1 1 6
1.549, 2, 1 1 5
3.075, 2, 1 1 1
2.928, 1, 0 0 3
1.819, 1, 2 0 3

***

(5)
Simulated XRD peak list
Compound: Cd4Ni
Radiation: copper Kα
Structure: a crystal structure in Alexandria, relaxed with PBE
Intensities are scaled so that the largest is 100.

Structure:
abc: 6.254 12.459 5.199
angles: 90.00 90.00 90.00
Space group Ibam (No. 72)
Asymmetric unit:
Cd 0.160 0.177 0.000
Cd 0.162 0.414 0.000
Ni 0.000 0.000 0.250

Main lines, in order of falling intensity (2θ from 10° to 80°):
d/Å, Rel. int., h k l
2.457, 100, 1 4 1
2.620, 83, 2 1 1
2.599, 37, 0 0 2
1.997, 29, 2 0 2
2.315, 24, 1 5 0
1.362, 23, 3 5 2
1.472, 19, 1 4 3
2.252, 17, 2 3 1
2.078, 16, 1 3 2
1.505, 14, 2 1 3
1.863, 13, 3 3 0
1.451, 11, 1 8 1

***

(6)
Simulated XRD peak list
Compound: Cd5Ni3
Radiation: copper Kα
Structure: a crystal structure in Alexandria, relaxed with PBE
Intensities are scaled so that the largest is 100.

Structure:
abc: 11.132 10.229 5.416
angles: 90.00 115.78 90.00
Space group C2/c (No. 15)
Asymmetric unit:
Cd 0.000 0.031 0.250
Cd 0.085 0.288 0.559
Cd 0.222 0.433 0.217
Ni 0.000 0.494 0.750
Ni 0.159 0.179 0.070

Main lines, in order of falling intensity (2θ from 10° to 80°):
d/Å, Rel. int., h k l
2.241, 100, 2 4 -1
2.534, 87, 2 2 1
2.201, 79, 0 2 2
2.250, 65, 4 2 0
2.266, 47, 3 1 1
2.324, 42, 4 0 -2
2.175, 38, 5 1 -1
2.389, 37, 2 2 -2
2.703, 28, 2 0 -2
2.116, 20, 4 2 -2
2.278, 20, 2 4 0
1.472, 19, 2 6 1

***

(7)
Simulated XRD peak list
Compound: CdNi6
Radiation: copper Kα
Structure: a crystal structure in Alexandria, relaxed with PBE
Intensities are scaled so that the largest is 100.

Structure:
abc: 7.635 4.761 9.687
angles: 90.00 90.00 90.00
Space group Pnma (No. 62)
Asymmetric unit:
Cd 0.241 0.250 0.064
Ni 0.062 0.750 0.086
Ni 0.064 0.008 0.307
Ni 0.103 0.250 0.520
Ni 0.145 0.750 0.849
Ni 0.186 0.250 0.761

Main lines, in order of falling intensity (2θ from 10° to 80°):
d/Å, Rel. int., h k l
2.188, 100, 3 1 1
2.308, 38, 1 0 4
1.879, 32, 1 0 5
1.858, 23, 1 2 3
1.977, 20, 2 2 1
2.381, 20, 0 2 0
1.334, 17, 3 3 1
1.873, 16, 4 0 1
2.136, 16, 0 2 2
2.020, 16, 2 2 0
1.242, 12, 5 2 2
1.657, 9, 1 2 4